Simulated powder diffraction line list of Na4Sc3InSi8O24 for copper Kα, from a structure optimized by DFT (PBE).

Peak list (10 most intense, 10 to 80 degrees two-theta, sorted by position)
| 2theta | d [Å] | I (rel.) | (hkl) |
| --- | --- | --- | --- |
| 13.4 | 6.618 | 36 | 0 1 1 |
| 19.5 | 4.554 | 21 | 1 1 0 |
| 28.9 | 3.091 | 100 | 1 2 1 |
| 29.7 | 3.007 | 44 | 0 1 3 |
| 33.9 | 2.643 | 21 | 1 3 0 |
| 34.7 | 2.584 | 36 | 2 0 -2 |
| 35.1 | 2.558 | 37 | 1 2 -3 |
| 41.0 | 2.199 | 18 | 1 3 2 |
| 50.6 | 1.802 | 18 | 0 5 1 |
| 54.8 | 1.676 | 18 | 3 2 -1 |

Crystal structure
```
data_Na4Sc3InSi8O24
_cell_length_a 5.413
_cell_length_b 9.180
_cell_length_c 9.855
_cell_angle_alpha 90.00
_cell_angle_beta 104.33
_cell_angle_gamma 90.00
_space_group_name_H-M_alt 'P 1 2 1'
_space_group_IT_number 3
loop_
_space_group_symop_operation_xyz
'x,y,z'
'-x,y,-z'
loop_
_atom_site_label
_atom_site_type_symbol
_atom_site_fract_x
_atom_site_fract_y
_atom_site_fract_z
Na1 Na 0.000 0.000 0.000
Na2 Na 0.000 0.106 0.500
Na3 Na 0.500 0.500 0.500
Na4 Na 0.500 0.607 0.000
Sc1 Sc 0.000 0.411 0.000
Sc2 Sc 0.000 0.698 0.500
Sc3 Sc 0.500 0.909 0.500
In1 In 0.500 0.199 0.000
Si1 Si 0.202 0.390 0.708
Si2 Si 0.203 0.716 0.210
Si3 Si 0.296 0.889 0.790
Si4 Si 0.297 0.216 0.291
O1 O 0.081 0.311 0.350
O2 O 0.081 0.794 0.849
O3 O 0.197 0.550 0.639
O4 O 0.197 0.557 0.140
O5 O 0.215 0.225 0.120
O6 O 0.224 0.880 0.618
O7 O 0.275 0.385 0.881
O8 O 0.277 0.725 0.382
O9 O 0.292 0.048 0.855
O10 O 0.304 0.057 0.361
O11 O 0.419 0.295 0.651
O12 O 0.419 0.811 0.151
```

=====

Simulated powder diffraction line list of Na2InSiO5 for copper Kα, from a structure optimized by DFT (PBE).

Peak list (10 most intense, 10 to 80 degrees two-theta, sorted by position)
| 2theta | d [Å] | I (rel.) | (hkl) |
| --- | --- | --- | --- |
| 16.9 | 5.260 | 53 | 1 0 1 |
| 19.4 | 4.572 | 53 | 2 0 0 |
| 25.0 | 3.558 | 54 | 0 2 0 |
| 27.0 | 3.301 | 35 | 2 1 1 |
| 30.3 | 2.947 | 34 | 1 2 1 |
| 31.9 | 2.808 | 42 | 2 2 0 |
| 32.1 | 2.790 | 100 | 1 1 2 |
| 34.9 | 2.571 | 34 | 2 2 1 |
| 41.9 | 2.154 | 40 | 4 0 1 |
| 48.7 | 1.868 | 38 | 1 3 2 |

Crystal structure
```
data_Na2InSiO5
_cell_length_a 9.144
_cell_length_b 7.116
_cell_length_c 6.430
_cell_angle_alpha 90.00
_cell_angle_beta 90.00
_cell_angle_gamma 90.00
_space_group_name_H-M_alt 'P n m a'
_space_group_IT_number 62
loop_
_space_group_symop_operation_xyz
'x,y,z'
'-x,-y,-z'
'-x+1/2,-y,z+1/2'
'x+1/2,y,-z+1/2'
'x+1/2,-y+1/2,-z+1/2'
'-x+1/2,y+1/2,z+1/2'
'-x,y+1/2,-z'
'x,-y+1/2,z'
loop_
_atom_site_label
_atom_site_type_symbol
_atom_site_fract_x
_atom_site_fract_y
_atom_site_fract_z
Na1 Na 0.173 0.030 0.121
In1 In 0.039 0.250 0.618
Si1 Si 0.101 0.750 0.824
O1 O 0.009 0.250 0.973
O2 O 0.068 0.566 0.674
O3 O 0.197 0.750 0.314
O4 O 0.227 0.250 0.400
```